Theoretical XRD peak list of BaMg6Cr for copper Kα, from a DFT-relaxed cell (PBE, the Materials Project).
Kinematic intensities with the Lorentz-polarization factor, no thermal factor.

Most intense lines, 2θ = 10–90°, sorted by position:
| d_spacing | Position (°2θ) | Rel. int. |
| --- | --- | --- |
| 5.973 | 14.83 | 44.3 |
| 3.934 | 22.60 | 26.5 |
| 3.914 | 22.72 | 30.0 |
| 2.987 | 29.92 | 21.2 |
| 2.887 | 30.97 | 19.4 |
| 2.611 | 34.34 | 37.0 |
| 2.588 | 34.66 | 100.0 |
| 1.957 | 46.40 | 12.3 |
| 1.495 | 62.10 | 15.4 |
| 1.444 | 64.56 | 12.8 |

Structure:
```
BaMg6Cr
1.0
5.1810 0.0000 0.0000
0.0000 3.4347 6.0473
0.0000 -3.4347 6.0473
Ba Mg Cr
1 6 1
Cartesian
0.0000 0.0000 0.0000
0.0000 0.0000 6.1217
0.0000 -1.5930 9.0957
0.0000 1.5930 9.0957
2.5905 0.0000 4.0852
2.5905 -1.5327 7.3066
2.5905 1.5327 7.3066
2.5905 0.0000 9.8480
```